[1]
Diffraction record for Rb2Co2PdBr8. The powder XRD pattern is computed, not measured: it uses the PBE geometry in OQMD and λ = 1.5418 Å (Cu Kα).

Largest 10 diffraction maxima, sorted by position, 2θ = 10–80°:
- 6.461 Å, 2θ 13.71, rel. 546
- 5.656 Å, 2θ 15.67, rel. 638
- 3.884 Å, 2θ 22.90, rel. 480
- 3.558 Å, 2θ 25.03, rel. 487
- 3.147 Å, 2θ 28.36, rel. 580
- 2.911 Å, 2θ 30.72, rel. 498
- 2.895 Å, 2θ 30.89, rel. 1000
- 2.870 Å, 2θ 31.16, rel. 518
- 2.830 Å, 2θ 31.61, rel. 572
- 2.139 Å, 2θ 42.26, rel. 383

Structure:
Cell: 12.131 7.767 9.270 Å, 90.00 106.32 90.00°
Space group C2/m (No. 12)
Symmetry-distinct sites (fractional):
Rb1 0.105 0.000 0.316 x4
Co1 0.117 0.500 0.900 x4
Pd1 0.000 0.500 0.500 x2
Br1 0.094 0.500 0.170 x4
Br2 0.118 0.283 0.669 x8
Br3 0.178 0.000 0.000 x4

---

[2]
Diffraction record for RbCo2Br5. The powder XRD pattern is computed, not measured: it uses the PBE geometry in OQMD and λ = 1.5418 Å (Cu Kα).

Largest 10 diffraction maxima, sorted by position, 2θ = 10–80°:
- 3.516 Å, 2θ 25.33, rel. 1000
- 3.279 Å, 2θ 27.19, rel. 594
- 2.988 Å, 2θ 29.90, rel. 398
- 2.846 Å, 2θ 31.43, rel. 616
- 2.548 Å, 2θ 35.22, rel. 590
- 1.940 Å, 2θ 46.84, rel. 220
- 1.934 Å, 2θ 46.99, rel. 336
- 1.800 Å, 2θ 50.71, rel. 369
- 1.716 Å, 2θ 53.38, rel. 271
- 1.576 Å, 2θ 58.59, rel. 219

Structure:
Cell: 8.057 8.057 16.040 Å, 90.00 90.00 90.00°
Space group I4/mcm (No. 140)
Symmetry-distinct sites (fractional):
Rb1 0.000 0.000 0.250 x4
Co1 0.219 0.281 0.000 x8
Br1 0.000 0.000 0.000 x4
Br2 0.162 0.338 0.137 x16